This entry pairs a crystal structure of Fe2RuW with its computed powder diffractogram. Radiation: Cu Kα (λ = 1.5418 Å). Structure: a cell relaxed with PBE.
Lines closer than 0.1° are merged.

Main lines, most intense first (2θ from 10° to 90°):
two_theta	Rel. int.
42.1	100
49.0	48
87.0	36
71.9	30
24.0	18
34.1	15
26.8	12
55.3	8

Structural model:
Unit cell a=3.716 b=3.716 c=7.426 alpha=90.00 beta=90.00 gamma=90.00
Space group I4/mmm (No. 139)
Symmetry-distinct sites (fractional):
Fe  0.000  0.500  0.250
Ru  0.000  0.000  0.000
W  0.000  0.000  0.500

=====

This entry pairs a crystal structure of KAgPbCl6 with its computed powder diffractogram. Radiation: Cu Kα (λ = 1.5418 Å). Structure: a cell relaxed with PBE.
Lines closer than 0.1° are merged.

Main lines, most intense first (2θ from 10° to 90°):
two_theta	Rel. int.
18.9	100
37.2	81
25.3	60
15.1	55
46.5	33
38.3	29
14.3	20
28.7	18

Structural model:
Unit cell a=6.645 b=6.645 c=12.424 alpha=90.00 beta=90.00 gamma=90.00
Space group P4_2nm (No. 102)
Symmetry-distinct sites (fractional):
K  0.000  0.000  0.000
Ag  0.000  0.000  0.672
Pb  0.000  0.000  0.335
Cl  0.177  0.177  0.499
Cl  0.210  0.210  0.196
Cl  0.221  0.221  0.815

=====

This entry pairs a crystal structure of HoHg2Pd5 with its computed powder diffractogram. Radiation: Cu Kα (λ = 1.5418 Å). Structure: a cell relaxed with PBE.
Lines closer than 0.1° are merged.

Main lines, most intense first (2θ from 10° to 90°):
two_theta	Rel. int.
37.6	100
42.7	35
74.8	27
64.2	21
45.6	15
62.0	12
78.9	11
80.2	11

Structural model:
Unit cell a=4.236 b=4.236 c=15.919 alpha=90.00 beta=90.00 gamma=90.00
Space group I4/mmm (No. 139)
Symmetry-distinct sites (fractional):
Ho  0.000  0.000  0.000
Hg  0.000  0.000  0.253
Pd  0.000  0.000  0.500
Pd  0.000  0.500  0.125

=====

This entry pairs a crystal structure of PmNd5Sn6 with its computed powder diffractogram. Radiation: Cu Kα (λ = 1.5418 Å). Structure: a cell relaxed with PBE.
Lines closer than 0.1° are merged.

Main lines, most intense first (2θ from 10° to 90°):
two_theta	Rel. int.
29.1	100
27.9	56
40.7	41
40.8	41
33.9	34
44.4	16
44.6	16
56.7	16

Structural model:
Unit cell a=8.272 b=11.298 c=8.310 alpha=90.00 beta=100.85 gamma=90.00
Space group C2/m (No. 12)
Symmetry-distinct sites (fractional):
Pm  0.000  0.000  0.000
Nd  0.000  0.167  0.500
Nd  0.000  0.333  0.000
Nd  0.000  0.500  0.500
Sn  0.249  0.000  0.751
Sn  0.249  0.165  0.249

=====

This entry pairs a crystal structure of Ba4Sr2Y3Sb3O18 with its computed powder diffractogram. Radiation: Cu Kα (λ = 1.5418 Å). Structure: a cell relaxed with PBE.
Lines closer than 0.1° are merged.

Main lines, most intense first (2θ from 10° to 90°):
two_theta	Rel. int.
29.9	100
29.8	99
52.9	41
42.6	41
53.1	27
42.8	20
61.9	18
52.8	14

Structural model:
Unit cell a=5.981 b=5.995 c=13.390 alpha=102.62 beta=102.86 gamma=90.23
Space group P1 (No. 1)
Symmetry-distinct sites (fractional):
Ba  0.000  0.000  0.000
Ba  0.163  0.165  0.334
Ba  0.497  0.500  0.999
Ba  0.830  0.833  0.664
Sr  0.324  0.348  0.669
Sr  0.658  0.675  0.333
Y  0.080  0.584  0.168
Y  0.415  0.918  0.831
Y  0.745  0.251  0.499
Sb  0.247  0.752  0.499
Sb  0.580  0.084  0.168
Sb  0.915  0.417  0.831
O  0.032  0.479  0.485
O  0.140  0.680  0.847
O  0.174  0.202  0.830
O  0.205  0.700  0.342
O  0.304  0.791  0.656
O  0.322  0.299  0.167
O  0.357  0.819  0.152
O  0.454  0.037  0.523
O  0.517  0.549  0.495
O  0.525  0.029  0.009
O  0.635  0.124  0.325
O  0.653  0.628  0.826
O  0.688  0.156  0.816
O  0.799  0.356  0.188
O  0.837  0.868  0.167
O  0.872  0.359  0.673
O  0.972  0.474  0.989
O  0.972  0.948  0.492

=====

This entry pairs a crystal structure of Nd7SmTm4 with its computed powder diffractogram. Radiation: Cu Kα (λ = 1.5418 Å). Structure: a cell relaxed with PBE.
Lines closer than 0.1° are merged.

Main lines, most intense first (2θ from 10° to 90°):
two_theta	Rel. int.
31.5	100
33.1	91
30.8	51
50.0	39
28.5	36
59.9	23
59.9	23
54.0	21

Structural model:
Unit cell a=6.320 b=7.286 c=8.969 alpha=89.98 beta=76.44 gamma=89.98
Space group P-1 (No. 2)
Symmetry-distinct sites (fractional):
Nd  0.000  0.000  0.000
Nd  0.223  0.500  0.335
Nd  0.282  0.751  0.663
Nd  0.500  0.246  0.998
Sm  0.000  0.500  0.000
Tm  0.218  0.000  0.336
Tm  0.277  0.245  0.666

=====

This entry pairs a crystal structure of CuTeO5 with its computed powder diffractogram. Radiation: Cu Kα (λ = 1.5418 Å). Structure: a cell relaxed with PBE.
Lines closer than 0.1° are merged.

Main lines, most intense first (2θ from 10° to 90°):
two_theta	Rel. int.
26.0	100
17.8	73
37.1	43
20.8	41
13.9	36
18.8	35
23.2	31
43.1	30

Structural model:
Unit cell a=5.743 b=8.323 c=9.924 alpha=90.00 beta=90.00 gamma=90.00
Space group P2_12_12_1 (No. 19)
Symmetry-distinct sites (fractional):
Cu  0.208  0.009  0.113
Te  0.015  0.316  0.657
O  0.016  0.087  0.677
O  0.070  0.609  0.457
O  0.144  0.737  0.402
O  0.157  0.825  0.009
O  0.245  0.179  0.229

=====

This entry pairs a crystal structure of Tb2Pm12Th with its computed powder diffractogram. Radiation: Cu Kα (λ = 1.5418 Å). Structure: a cell relaxed with PBE.
Lines closer than 0.1° are merged.

Main lines, most intense first (2θ from 10° to 90°):
two_theta	Rel. int.
31.7	100
30.8	81
31.3	72
30.9	65
29.6	60
30.7	54
32.8	40
31.7	24

Structural model:
Unit cell a=6.550 b=6.916 c=25.631 alpha=95.71 beta=91.65 gamma=116.88
Space group P-1 (No. 2)
Symmetry-distinct sites (fractional):
Tb  0.033  0.260  0.284
Tb  0.454  0.267  0.733
Pm  0.002  0.601  0.191
Pm  0.076  0.793  0.325
Pm  0.136  0.396  0.539
Pm  0.140  0.988  0.848
Pm  0.158  0.940  0.593
Pm  0.176  0.660  0.949
Pm  0.295  0.897  0.082
Pm  0.342  0.584  0.409
Pm  0.366  0.112  0.461
Pm  0.404  0.468  0.117
Pm  0.431  0.705  0.658
Pm  0.458  0.174  0.215
Th  0.264  0.220  0.985

=====

This entry pairs a crystal structure of Pm8Tl2Os with its computed powder diffractogram. Radiation: Cu Kα (λ = 1.5418 Å). Structure: a cell relaxed with PBE.
Lines closer than 0.1° are merged.

Main lines, most intense first (2θ from 10° to 90°):
two_theta	Rel. int.
32.3	100
33.5	100
34.4	72
31.4	67
46.3	23
58.3	21
30.0	20
27.5	18

Structural model:
Unit cell a=17.862 b=5.553 c=7.159 alpha=90.00 beta=111.52 gamma=90.00
Space group C2/m (No. 12)
Symmetry-distinct sites (fractional):
Pm  0.009  0.000  0.274
Pm  0.101  0.500  0.907
Pm  0.143  0.500  0.416
Pm  0.199  0.000  0.753
Tl  0.182  0.000  0.192
Os  0.000  0.500  0.500

=====

This entry pairs a crystal structure of LiP5 with its computed powder diffractogram. Radiation: Cu Kα (λ = 1.5418 Å). Structure: a cell relaxed with PBE.
Lines closer than 0.1° are merged.

Main lines, most intense first (2θ from 10° to 90°):
two_theta	Rel. int.
15.7	100
34.8	54
37.2	50
52.6	48
53.5	44
32.0	43
26.7	38
31.4	27

Structural model:
Unit cell a=10.502 b=6.681 c=6.598 alpha=90.00 beta=90.00 gamma=90.00
Space group Pna2_1 (No. 33)
Symmetry-distinct sites (fractional):
Li  0.079  0.044  0.000
P  0.084  0.585  0.368
P  0.093  0.599  0.853
P  0.129  0.111  0.628
P  0.192  0.446  0.110
P  0.193  0.422  0.610

=====

This entry pairs a crystal structure of Er5Sb4Te with its computed powder diffractogram. Radiation: Cu Kα (λ = 1.5418 Å). Structure: a cell relaxed with PBE.
Lines closer than 0.1° are merged.

Main lines, most intense first (2θ from 10° to 90°):
two_theta	Rel. int.
29.1	100
41.6	76
68.2	34
51.5	27
75.8	26
60.2	13
25.1	4
49.2	2

Structural model:
Unit cell a=4.345 b=4.345 c=30.740 alpha=90.00 beta=90.00 gamma=90.00
Space group I4/mmm (No. 139)
Symmetry-distinct sites (fractional):
Er  0.000  0.000  0.000
Er  0.000  0.000  0.200
Er  0.000  0.000  0.398
Sb  0.000  0.000  0.099
Sb  0.000  0.000  0.299
Te  0.000  0.000  0.500

=====

This entry pairs a crystal structure of Dy2ErTh with its computed powder diffractogram. Radiation: Cu Kα (λ = 1.5418 Å). Structure: a cell relaxed with PBE.
Lines closer than 0.1° are merged.

Main lines, most intense first (2θ from 10° to 90°):
two_theta	Rel. int.
30.8	100
35.8	67
31.1	32
61.3	29
51.4	24
51.7	24
61.1	15
61.6	14

Structural model:
Unit cell a=3.5576 b=3.5576 c=34.5037 alpha=90.00 beta=90.00 gamma=120.00
Space group R-3m (No. 166, hexagonal axes)
Symmetry-distinct sites (fractional):
Dy  0.0000  0.0000  0.2492
Er  0.0000  0.0000  0.0000
Th  0.0000  0.0000  0.5000